For TbErS, a DFT-relaxed cell (PBE, Alexandria) gives the theoretical powder X-ray diffraction pattern in this record (copper Kα).

Main lines, by angle (10 to 80 degrees two-theta):
- (0 0 6), d 3.100, intensity 322
- (0 1 2), d 3.086, intensity 966
- (1 0 4), d 2.675, intensity 1000
- (0 1 8), d 1.895, intensity 356
- (1 1 0), d 1.889, intensity 360
- (1 0 10), d 1.617, intensity 144
- (2 0 2), d 1.612, intensity 441
- (0 2 4), d 1.543, intensity 186
- (2 0 8), d 1.338, intensity 113
- (1 2 2), d 1.226, intensity 120

Atomic structure:
```
TbErS
1.0
3.7771 0.0000 0.0000
-1.8885 3.2710 0.0000
0.0000 0.0000 18.5991
Tb Er S
3 3 3
direct
0.0000 0.0000 0.0000
0.3333 0.6667 0.6667
0.6667 0.3333 0.3333
0.0000 0.0000 0.4938
0.3333 0.6667 0.1605
0.6667 0.3333 0.8272
0.0000 0.0000 0.2450
0.3333 0.6667 0.9116
0.6667 0.3333 0.5783
```